Structure and simulated powder diffraction line list of SrSi7N10 (a cell relaxed with PBE; Cu Kα (λ = 1.5418 Å)).
Kinematic intensities with the Lorentz-polarization factor, no thermal factor.

Cell and atoms:
Cell: 6.887 6.781 9.686 Å, 90.00 106.07 90.00°
Space group Pc (No. 7)
One atom of each set of equivalent atoms:
Sr 0.000 0.050 0.000 x2
Si 0.153 0.394 0.405 x2
Si 0.341 0.381 0.716 x2
Si 0.399 0.027 0.349 x2
Si 0.528 0.371 0.020 x2
Si 0.584 0.026 0.660 x2
Si 0.710 0.365 0.325 x2
Si 0.893 0.376 0.641 x2
N 0.123 0.423 0.770 x2
N 0.199 0.164 0.353 x2
N 0.331 0.498 0.556 x2
N 0.364 0.130 0.697 x2
N 0.490 0.118 0.004 x2
N 0.543 0.462 0.856 x2
N 0.612 0.131 0.309 x2
N 0.748 0.416 0.156 x2
N 0.793 0.155 0.662 x2
N 0.932 0.383 0.465 x2

Largest 10 diffraction maxima, sorted by position, 5 to 70 degrees two-theta:
| 2θ (°) | I (rel.) | hkl |
| --- | --- | --- |
| 24.01 | 28 | 1 1 -2 |
| 26.28 | 85 | 0 2 0 |
| 29.16 | 52 | 2 1 -1 |
| 29.45 | 45 | 1 1 2 |
| 29.98 | 100 | 1 2 -1 |
| 31.41 | 50 | 2 1 -2 |
| 31.72 | 47 | 0 1 3 |
| 37.47 | 47 | 2 0 2 |
| 39.63 | 35 | 1 1 -4 |
| 49.92 | 17 | 0 3 3 |

Structure and simulated powder diffraction line list of ThMn2Ge2 (a cell relaxed with PBE; Cu Kα (λ = 1.5418 Å)).
Kinematic intensities with the Lorentz-polarization factor, no thermal factor.

Cell and atoms:
Cell: 4.034 4.034 10.883 Å, 90.00 90.00 90.00°
Space group I4/mmm (No. 139)
One atom of each set of equivalent atoms:
Th 0.000 0.000 0.000 x2
Mn 0.000 0.500 0.250 x4
Ge 0.000 0.000 0.377 x4

Largest 10 diffraction maxima, sorted by position, 5 to 70 degrees two-theta:
| 2θ (°) | I (rel.) | hkl |
| --- | --- | --- |
| 23.52 | 28 | 1 0 1 |
| 31.36 | 37 | 1 1 0 |
| 33.21 | 100 | 1 0 3 |
| 35.53 | 92 | 1 1 2 |
| 44.94 | 48 | 2 0 0 |
| 47.46 | 40 | 1 0 5 |
| 57.01 | 43 | 2 1 3 |
| 60.48 | 17 | 1 1 6 |
| 65.44 | 15 | 2 2 0 |
| 67.42 | 28 | 2 1 5 |

Structure and simulated powder diffraction line list of Ca3Ti8S16 (a cell relaxed with PBE; Cu Kα (λ = 1.5418 Å)).
Kinematic intensities with the Lorentz-polarization factor, no thermal factor.

Cell and atoms:
Cell: 11.904 6.983 13.597 Å, 90.00 90.66 90.00°
Space group C2/m (No. 12)
One atom of each set of equivalent atoms:
Ca 0.000 0.000 0.000 x2
Ca 0.250 0.250 0.500 x4
Ti 0.003 0.000 0.748 x4
Ti 0.005 0.500 0.752 x4
Ti 0.245 0.255 0.754 x8
S 0.081 0.251 0.643 x8
S 0.082 0.251 0.146 x8
S 0.168 0.500 0.859 x4
S 0.169 0.000 0.357 x4
S 0.169 0.000 0.858 x4
S 0.169 0.500 0.354 x4

Largest 10 diffraction maxima, sorted by position, 5 to 70 degrees two-theta:
| 2θ (°) | I (rel.) | hkl |
| --- | --- | --- |
| 13.02 | 100 | 0 0 2 |
| 32.44 | 58 | 2 2 -2 |
| 33.00 | 28 | 4 0 2 |
| 39.88 | 67 | 2 2 -4 |
| 40.12 | 22 | 2 2 4 |
| 40.51 | 33 | 4 0 4 |
| 50.55 | 20 | 2 2 6 |
| 52.41 | 17 | 0 4 0 |
| 53.09 | 31 | 6 2 0 |
| 68.27 | 11 | 4 4 4 |

Structure and simulated powder diffraction line list of KBePt (a cell relaxed with PBE; Cu Kα (λ = 1.5418 Å)).
Kinematic intensities with the Lorentz-polarization factor, no thermal factor.

Cell and atoms:
Cell: 6.517 6.517 6.517 Å, 90.00 90.00 90.00°
Space group F-43m (No. 216)
One atom of each set of equivalent atoms:
K 0.000 0.000 0.000 x4
Be 0.000 0.000 0.500 x4
Pt 0.250 0.250 0.750 x4

Largest 8 diffraction maxima, sorted by position, 5 to 70 degrees two-theta:
| 2θ (°) | I (rel.) | hkl |
| --- | --- | --- |
| 23.65 | 100 | 1 1 1 |
| 27.37 | 28 | 2 0 0 |
| 39.09 | 61 | 2 2 0 |
| 46.20 | 51 | 3 1 1 |
| 48.38 | 9 | 2 2 2 |
| 56.48 | 10 | 4 0 0 |
| 62.08 | 21 | 3 3 1 |
| 63.88 | 12 | 4 2 0 |

Structure and simulated powder diffraction line list of Nb6CuSe8 (a cell relaxed with PBE; Cu Kα (λ = 1.5418 Å)).
Kinematic intensities with the Lorentz-polarization factor, no thermal factor.

Cell and atoms:
Cell: 10.0558 10.0558 3.4762 Å, 90.00 90.00 120.00°
Space group P-3 (No. 147)
One atom of each set of equivalent atoms:
Nb 0.1080 0.6204 0.2498 x6
Cu 0.0000 0.0000 0.5000 x1
Se 0.0578 0.3341 0.2517 x6
Se 0.3333 0.6667 0.7504 x2

Largest 10 diffraction maxima, sorted by position, 5 to 70 degrees two-theta:
| 2θ (°) | I (rel.) | hkl |
| --- | --- | --- |
| 10.16 | 51 | 1 0 0 |
| 27.63 | 16 | 1 0 1 |
| 30.80 | 25 | 3 0 0 |
| 32.97 | 36 | 2 0 1 |
| 37.23 | 59 | 1 3 0 |
| 37.63 | 100 | 1 2 1 |
| 44.47 | 39 | 4 -2 1 |
| 47.87 | 21 | 4 1 0 |
| 52.85 | 16 | 2 3 1 |
| 66.25 | 18 | 4 -1 2 |

Structure and simulated powder diffraction line list of SrPH3O4 (a cell relaxed with PBE; Cu Kα (λ = 1.5418 Å)).
Kinematic intensities with the Lorentz-polarization factor, no thermal factor.

Cell and atoms:
Cell: 7.688 7.158 8.240 Å, 90.00 108.47 90.00°
Space group P2_1/c (No. 14)
One atom of each set of equivalent atoms:
Sr 0.126 0.140 0.346 x4
P 0.228 0.651 0.505 x4
H 0.308 0.047 0.728 x4
H 0.389 0.739 0.496 x4
H 0.496 0.106 0.702 x4
O 0.073 0.700 0.958 x4
O 0.179 0.003 0.866 x4
O 0.272 0.578 0.688 x4
O 0.360 0.116 0.649 x4

Largest 10 diffraction maxima, sorted by position, 5 to 70 degrees two-theta:
| 2θ (°) | I (rel.) | hkl |
| --- | --- | --- |
| 12.14 | 100 | 1 0 0 |
| 22.81 | 15 | 1 1 1 |
| 25.98 | 17 | 0 1 2 |
| 27.43 | 17 | 2 1 0 |
| 27.68 | 48 | 2 0 -2 |
| 28.53 | 91 | 1 2 -1 |
| 31.77 | 32 | 1 1 2 |
| 32.70 | 21 | 2 1 1 |
| 38.75 | 15 | 2 0 2 |
| 45.89 | 19 | 1 1 -4 |

Structure and simulated powder diffraction line list of Mg3ZnC (a cell relaxed with PBE; Cu Kα (λ = 1.5418 Å)).
Kinematic intensities with the Lorentz-polarization factor, no thermal factor.

Cell and atoms:
Cell: 4.407 4.407 4.407 Å, 90.00 90.00 90.00°
Space group Pm-3m (No. 221)
One atom of each set of equivalent atoms:
Mg 0.000 0.000 0.500 x3
Zn 0.500 0.500 0.500 x1
C 0.000 0.000 0.000 x1

Largest 9 diffraction maxima, sorted by position, 5 to 70 degrees two-theta:
| 2θ (°) | I (rel.) | hkl |
| --- | --- | --- |
| 20.15 | 17 | 1 0 0 |
| 28.65 | 45 | 1 1 0 |
| 35.28 | 100 | 1 1 1 |
| 40.96 | 65 | 2 0 0 |
| 46.05 | 10 | 2 1 0 |
| 50.74 | 16 | 2 1 1 |
| 59.31 | 40 | 2 2 0 |
| 63.31 | 5 | 3 0 0 |
| 67.17 | 6 | 3 1 0 |

Structure and simulated powder diffraction line list of MgTe4Mo2W2Se2S2 (a cell relaxed with PBE; Cu Kα (λ = 1.5418 Å)).
Kinematic intensities with the Lorentz-polarization factor, no thermal factor.

Cell and atoms:
Cell: 5.886 3.397 44.721 Å, 90.00 91.31 90.00°
Space group Cm (No. 8)
One atom of each set of equivalent atoms:
Mg 0.000 0.000 0.000 x2
Te 0.008 0.000 0.322 x2
Te 0.160 0.500 0.674 x2
Te 0.174 0.500 0.758 x2
Te 0.494 0.500 0.237 x2
Mo 0.000 0.000 0.716 x2
Mo 0.167 0.500 0.899 x2
W 0.168 0.500 0.280 x2
W 0.490 0.500 0.100 x2
Se 0.007 0.000 0.936 x2
Se 0.494 0.500 0.862 x2
S 0.151 0.500 0.066 x2
S 0.162 0.500 0.134 x2

Largest 10 diffraction maxima, sorted by position, 5 to 70 degrees two-theta:
| 2θ (°) | I (rel.) | hkl |
| --- | --- | --- |
| 5.93 | 35 | 0 0 3 |
| 9.89 | 100 | 0 0 5 |
| 11.88 | 18 | 0 0 6 |
| 30.39 | 27 | 1 1 0 |
| 34.28 | 9 | 1 1 -8 |
| 34.62 | 14 | 1 1 8 |
| 36.36 | 8 | 1 1 -10 |
| 40.10 | 15 | 1 1 -13 |
| 40.58 | 12 | 1 1 13 |
| 53.99 | 19 | 0 2 0 |

Copy entry 1 word for word.
Structure and simulated powder diffraction line list of SrSi7N10 (a cell relaxed with PBE; Cu Kα (λ = 1.5418 Å)).
Kinematic intensities with the Lorentz-polarization factor, no thermal factor.

Cell and atoms:
Cell: 6.887 6.781 9.686 Å, 90.00 106.07 90.00°
Space group Pc (No. 7)
One atom of each set of equivalent atoms:
Sr 0.000 0.050 0.000 x2
Si 0.153 0.394 0.405 x2
Si 0.341 0.381 0.716 x2
Si 0.399 0.027 0.349 x2
Si 0.528 0.371 0.020 x2
Si 0.584 0.026 0.660 x2
Si 0.710 0.365 0.325 x2
Si 0.893 0.376 0.641 x2
N 0.123 0.423 0.770 x2
N 0.199 0.164 0.353 x2
N 0.331 0.498 0.556 x2
N 0.364 0.130 0.697 x2
N 0.490 0.118 0.004 x2
N 0.543 0.462 0.856 x2
N 0.612 0.131 0.309 x2
N 0.748 0.416 0.156 x2
N 0.793 0.155 0.662 x2
N 0.932 0.383 0.465 x2

Largest 10 diffraction maxima, sorted by position, 5 to 70 degrees two-theta:
| 2θ (°) | I (rel.) | hkl |
| --- | --- | --- |
| 24.01 | 28 | 1 1 -2 |
| 26.28 | 85 | 0 2 0 |
| 29.16 | 52 | 2 1 -1 |
| 29.45 | 45 | 1 1 2 |
| 29.98 | 100 | 1 2 -1 |
| 31.41 | 50 | 2 1 -2 |
| 31.72 | 47 | 0 1 3 |
| 37.47 | 47 | 2 0 2 |
| 39.63 | 35 | 1 1 -4 |
| 49.92 | 17 | 0 3 3 |